1.
# CoMo2S4
Computed powder XRD pattern, Cu Kα (weighted mean of Kα1 and Kα2). Input: the GGA-PBE geometry in the Materials Project.

Top 10 peaks for 10 to 90 degrees two-theta, low angle first:
2θ = 15.75°, I 620
2θ = 17.36°, I 461
2θ = 30.16°, I 223
2θ = 31.74°, I 689
2θ = 35.14°, I 1000
2θ = 42.69°, I 241
2θ = 44.80°, I 415
2θ = 46.28°, I 680
2θ = 47.26°, I 407
2θ = 54.56°, I 275

Structural model:
```
data_CoMo2S4
_cell_length_a 12.396
_cell_length_b 3.207
_cell_length_c 5.938
_cell_angle_alpha 90.00
_cell_angle_beta 114.84
_cell_angle_gamma 90.00
_symmetry_space_group_name_H-M 'P 1'
_symmetry_Int_Tables_number 1
loop_
_symmetry_equiv_pos_as_xyz
'x,y,z'
loop_
_atom_site_label
_atom_site_type_symbol
_atom_site_fract_x
_atom_site_fract_y
_atom_site_fract_z
Co1 Co 0.000 0.000 0.000
Co2 Co 0.500 0.500 0.000
Mo1 Mo 0.239 0.500 0.683
Mo2 Mo 0.261 0.000 0.317
Mo3 Mo 0.739 0.000 0.683
Mo4 Mo 0.761 0.500 0.317
S1 S 0.098 0.000 0.428
S2 S 0.132 0.500 0.976
S3 S 0.368 0.000 0.024
S4 S 0.402 0.500 0.572
S5 S 0.598 0.500 0.428
S6 S 0.632 0.000 0.976
S7 S 0.868 0.500 0.024
S8 S 0.902 0.000 0.572
```

2.
# CoMo2S4
Computed powder XRD pattern, Cu Kα (weighted mean of Kα1 and Kα2). Input: the GGA-PBE geometry in the Materials Project.

Top 10 peaks for 10 to 90 degrees two-theta, low angle first:
2θ = 15.72°, I 1000
2θ = 17.11°, I 677
2θ = 31.09°, I 776
2θ = 34.62°, I 485
2θ = 34.74°, I 960
2θ = 41.95°, I 351
2θ = 44.58°, I 666
2θ = 45.47°, I 955
2θ = 47.17°, I 358
2θ = 53.98°, I 408

Structural model:
```
data_CoMo2S4
_cell_length_a 6.804
_cell_length_b 6.804
_cell_length_c 12.555
_cell_angle_alpha 112.65
_cell_angle_beta 112.65
_cell_angle_gamma 57.76
_symmetry_space_group_name_H-M 'P 1'
_symmetry_Int_Tables_number 1
loop_
_symmetry_equiv_pos_as_xyz
'x,y,z'
loop_
_atom_site_label
_atom_site_type_symbol
_atom_site_fract_x
_atom_site_fract_y
_atom_site_fract_z
Co1 Co 0.120 0.880 0.500
Co2 Co 0.384 0.636 0.001
Co3 Co 0.636 0.384 0.501
Co4 Co 0.880 0.120 0.000
Mo1 Mo 0.050 0.267 0.261
Mo2 Mo 0.245 0.456 0.745
Mo3 Mo 0.267 0.050 0.761
Mo4 Mo 0.456 0.245 0.245
Mo5 Mo 0.517 0.811 0.262
Mo6 Mo 0.704 0.983 0.743
Mo7 Mo 0.811 0.517 0.762
Mo8 Mo 0.983 0.704 0.243
S1 S 0.090 0.338 0.099
S2 S 0.118 0.862 0.134
S3 S 0.135 0.888 0.864
S4 S 0.176 0.416 0.906
S5 S 0.338 0.090 0.599
S6 S 0.378 0.618 0.642
S7 S 0.386 0.653 0.371
S8 S 0.416 0.176 0.406
S9 S 0.597 0.857 0.107
S10 S 0.618 0.378 0.142
S11 S 0.653 0.386 0.871
S12 S 0.656 0.905 0.897
S13 S 0.857 0.597 0.607
S14 S 0.862 0.118 0.634
S15 S 0.888 0.135 0.364
S16 S 0.905 0.656 0.397
```

3.
# CoMo12Se16
Computed powder XRD pattern, Cu Kα (weighted mean of Kα1 and Kα2). Input: the GGA-PBE geometry in the Materials Project.

Top 10 peaks for 10 to 90 degrees two-theta, low angle first:
2θ = 13.11°, I 1000
2θ = 13.17°, I 686
2θ = 31.90°, I 241
2θ = 32.24°, I 349
2θ = 39.38°, I 441
2θ = 41.38°, I 222
2θ = 44.19°, I 367
2θ = 44.37°, I 323
2θ = 44.63°, I 367
2θ = 48.42°, I 206

Structural model:
```
data_CoMo12Se16
_cell_length_a 9.330
_cell_length_b 9.407
_cell_length_c 9.409
_cell_angle_alpha 62.22
_cell_angle_beta 62.40
_cell_angle_gamma 62.50
_symmetry_space_group_name_H-M 'P 1'
_symmetry_Int_Tables_number 1
loop_
_symmetry_equiv_pos_as_xyz
'x,y,z'
loop_
_atom_site_label
_atom_site_type_symbol
_atom_site_fract_x
_atom_site_fract_y
_atom_site_fract_z
Co1 Co 0.000 0.000 0.000
Mo1 Mo 0.023 0.928 0.596
Mo2 Mo 0.072 0.843 0.320
Mo3 Mo 0.149 0.117 0.284
Mo4 Mo 0.251 0.473 0.018
Mo5 Mo 0.334 0.747 0.970
Mo6 Mo 0.383 0.662 0.696
Mo7 Mo 0.522 0.427 0.100
Mo8 Mo 0.569 0.343 0.829
Mo9 Mo 0.653 0.616 0.780
Mo10 Mo 0.751 0.980 0.514
Mo11 Mo 0.833 0.248 0.474
Mo12 Mo 0.876 0.168 0.202
Se1 Se 0.079 0.783 0.891
Se2 Se 0.093 0.186 0.542
Se3 Se 0.209 0.546 0.268
Se4 Se 0.214 0.038 0.027
Se5 Se 0.309 0.403 0.759
Se6 Se 0.318 0.799 0.405
Se7 Se 0.447 0.176 0.144
Se8 Se 0.458 0.912 0.654
Se9 Se 0.581 0.292 0.396
Se10 Se 0.596 0.684 0.038
Se11 Se 0.696 0.540 0.532
Se12 Se 0.708 0.048 0.768
Se13 Se 0.807 0.892 0.263
Se14 Se 0.823 0.291 0.905
Se15 Se 0.949 0.678 0.638
Se16 Se 0.950 0.416 0.159
```

4.
# Co3SiMo2
Computed powder XRD pattern, Cu Kα (weighted mean of Kα1 and Kα2). Input: the GGA-PBE geometry in the Materials Project.

Top 10 peaks for 10 to 90 degrees two-theta, low angle first:
2θ = 32.49°, I 169
2θ = 37.73°, I 394
2θ = 42.69°, I 1000
2θ = 43.84°, I 253
2θ = 45.24°, I 842
2θ = 45.61°, I 900
2θ = 71.53°, I 369
2θ = 73.38°, I 192
2θ = 79.71°, I 286
2θ = 80.57°, I 292

Structural model:
```
data_Co3SiMo2
_cell_length_a 4.769
_cell_length_b 4.769
_cell_length_c 7.400
_cell_angle_alpha 90.00
_cell_angle_beta 90.00
_cell_angle_gamma 120.00
_symmetry_space_group_name_H-M 'P 1'
_symmetry_Int_Tables_number 1
loop_
_symmetry_equiv_pos_as_xyz
'x,y,z'
loop_
_atom_site_label
_atom_site_type_symbol
_atom_site_fract_x
_atom_site_fract_y
_atom_site_fract_z
Co1 Co 0.171 0.343 0.250
Co2 Co 0.171 0.829 0.250
Co3 Co 0.343 0.171 0.750
Co4 Co 0.657 0.829 0.250
Co5 Co 0.829 0.171 0.750
Co6 Co 0.829 0.657 0.750
Si1 Si 0.000 0.000 0.000
Si2 Si 0.000 0.000 0.500
Mo1 Mo 0.333 0.667 0.567
Mo2 Mo 0.333 0.667 0.933
Mo3 Mo 0.667 0.333 0.067
Mo4 Mo 0.667 0.333 0.433
```